Diffraction record for NiSb2Pd. The powder diffractogram is computed, not measured: it uses the PBE geometry in OQMD and Cu Kα, 1.54184 Å.
Kinematic intensities with the Lorentz-polarization factor, no thermal factor.

Crystal structure
a b c (Å): 3.358 3.358 7.759
angles (deg): 90.00 90.00 120.00
Element x y z (fractional)
Ni1 0.000 0.000 0.000
Sb1 0.333 0.667 0.232
Sb2 0.333 0.667 0.768
Pd1 0.667 0.333 0.500

Main lines, in order of rising 2θ (10° ≤ 2θ ≤ 90°):
- 30.75 deg, rel. 225, (1 0 0)
- 32.89 deg, rel. 372, (1 0 1)
- 38.70 deg, rel. 1000, (1 0 2)
- 46.83 deg, rel. 139, (0 0 4)
- 47.02 deg, rel. 139, (1 0 3)
- 54.67 deg, rel. 292, (1 1 0)
- 68.98 deg, rel. 176, (2 0 2)
- 74.79 deg, rel. 200, (1 1 4)